Diffraction record for TbEr4Al4. The X-ray diffraction stick pattern is calculated, not measured: it uses a cell relaxed with GGA-PBE and Cu Kα (weighted mean of Kα1 and Kα2).
No peak broadening, texture or thermal motion is included.

Structural model:
Cell: 8.8600 8.8600 5.6646 Å, 90.00 90.00 90.00°
Space group P4_2/n (No. 86, origin choice 2)
Unique sites:
1 Tb 0.2500 0.2500 0.2500 [2 per cell]
2 Er 0.0878 0.8247 0.6460 [8 per cell]
3 Al 0.0546 0.1544 0.8390 [8 per cell]

Largest 8 diffraction maxima, in order of falling intensity, 2θ = 10–90°:
- 31.9°, I = 100, (3 1 0)
- 34.2°, I = 86, (3 0 1)
- 33.2°, I = 80, (1 0 2)
- 27.5°, I = 80, (1 2 1)
- 40.0°, I = 77, (2 3 1)
- 18.6°, I = 58, (1 0 1)
- 35.8°, I = 41, (1 3 1)
- 32.7°, I = 39, (2 2 1)